1.
This entry pairs a crystal structure of NdZn8Pd3 with its simulated powder diffractogram. Radiation: Cu Kα (λ = 1.5418 Å). Structure: a PBE-relaxed structure.
Kinematic intensities with the Lorentz-polarization factor, no thermal factor.

Crystal structure
Cell lengths 5.1117, 5.1117, 8.4697 Å; angles 90.00, 90.00, 120.00 degrees
Space group P3m1 (No. 156)
Asymmetric unit:
Nd 0.0000 0.0000 0.0000 (multiplicity 1)
Zn 0.1629 0.3257 0.6760 (multiplicity 3)
Zn 0.3333 0.6667 0.4434 (multiplicity 1)
Zn 0.3333 0.6667 0.9326 (multiplicity 1)
Zn 0.5043 0.0086 0.2100 (multiplicity 3)
Pd 0.0000 0.0000 0.3633 (multiplicity 1)
Pd 0.6667 0.3333 0.5054 (multiplicity 1)
Pd 0.6667 0.3333 0.8765 (multiplicity 1)

Largest 6 diffraction maxima, most intense first, 2θ = 10–90°:
index  2theta  I_rel
1 1 2  41.26  100
0 1 3  37.79  93
0 2 1  42.20  74
1 1 0  35.11  49
2 1 3  64.77  34
0 2 5  69.94  31

=====

2.
This entry pairs a crystal structure of Ac2BeSiRh6 with its simulated powder diffractogram. Radiation: Cu Kα (λ = 1.5418 Å). Structure: a PBE-relaxed structure.
Kinematic intensities with the Lorentz-polarization factor, no thermal factor.

Crystal structure
Cell lengths 6.340, 6.356, 8.975 Å; angles 90.00, 90.00, 90.00 degrees
Space group Immm (No. 71)
Asymmetric unit:
Ac 0.000 0.000 0.250 (multiplicity 4)
Be 0.000 0.500 0.000 (multiplicity 2)
Si 0.000 0.500 0.500 (multiplicity 2)
Rh 0.000 0.500 0.243 (multiplicity 4)
Rh 0.243 0.257 0.000 (multiplicity 8)

Largest 6 diffraction maxima, most intense first, 2θ = 10–90°:
index  2theta  I_rel
2 0 2  34.61  100
2 2 0  40.18  56
2 2 4  58.12  32
2 4 2  69.43  26
2 0 0  28.12  17
4 2 2  69.50  13

=====

3.
This entry pairs a crystal structure of CeCuBiN with its simulated powder diffractogram. Radiation: Cu Kα (λ = 1.5418 Å). Structure: a PBE-relaxed structure.
Kinematic intensities with the Lorentz-polarization factor, no thermal factor.

Crystal structure
Cell lengths 3.403, 3.403, 13.829 Å; angles 90.00, 90.00, 90.00 degrees
Space group I4mm (No. 107)
Asymmetric unit:
Ce 0.000 0.000 0.000 (multiplicity 2)
Cu 0.000 0.000 0.337 (multiplicity 2)
Bi 0.000 0.000 0.721 (multiplicity 2)
N 0.000 0.000 0.476 (multiplicity 2)

Largest 6 diffraction maxima, most intense first, 2θ = 10–90°:
index  2theta  I_rel
1 0 3  32.71  100
1 1 0  37.37  51
2 1 3  64.48  29
1 0 1  26.98  29
0 0 4  25.77  28
1 1 4  45.95  24

=====

4.
This entry pairs a crystal structure of BaCaGeO4 with its simulated powder diffractogram. Radiation: Cu Kα (λ = 1.5418 Å). Structure: a PBE-relaxed structure.
Kinematic intensities with the Lorentz-polarization factor, no thermal factor.

Crystal structure
Cell lengths 5.800, 5.942, 7.163 Å; angles 90.00, 107.86, 90.00 degrees
Space group P2_1/m (No. 11)
Asymmetric unit:
Ba 0.215 0.250 0.432 (multiplicity 2)
Ca 0.306 0.250 0.964 (multiplicity 2)
Ge 0.243 0.750 0.172 (multiplicity 2)
O 0.047 0.750 0.930 (multiplicity 2)
O 0.059 0.750 0.331 (multiplicity 2)
O 0.453 0.520 0.216 (multiplicity 4)

Largest 6 diffraction maxima, most intense first, 2θ = 10–90°:
index  2theta  I_rel
0 1 2  30.24  100
0 2 0  30.08  68
2 1 -2  38.19  66
1 1 -1  22.91  65
1 0 -4  50.97  55
1 0 1  23.64  53